# 1
Al4Zn3: computed X-ray diffraction stick pattern (Cu Kα, 1.54184 Å), based on DFT lattice parameters and positions (PBE).
No peak broadening, texture or thermal motion is included.

Structural model:
a = 4.9725 Å, b = 4.9725 Å, c = 5.4119 Å
α = 90.00°, β = 90.00°, γ = 120.00°
Space group P6/mmm (No. 191)
Inequivalent atoms, fractional coordinates:
Al (0.0000, 0.0000, 0.2381) (multiplicity 2)
Al (0.3333, 0.6667, 0.0000) (multiplicity 2)
Zn (0.0000, 0.5000, 0.5000) (multiplicity 3)

Peak list (12 most intense, 2θ = 10–90°, sorted by position)
| 2θ/deg | Rel. int. | (hkl) |
| --- | --- | --- |
| 16.38 | 94.5 | 0 0 1 |
| 26.45 | 18.0 | 1 0 1 |
| 33.11 | 33.6 | 0 0 2 |
| 39.32 | 61.9 | 1 0 2 |
| 39.90 | 43.2 | 1 1 1 |
| 41.96 | 65.1 | 2 0 0 |
| 45.33 | 100.0 | 2 0 1 |
| 54.46 | 17.9 | 2 0 2 |
| 67.11 | 24.2 | 2 1 2 |
| 67.77 | 32.1 | 2 0 3 |
| 76.65 | 18.1 | 2 2 0 |
| 84.59 | 15.0 | 2 0 4 |

# 2
Al5Zn2: computed X-ray diffraction stick pattern (Cu Kα, 1.54184 Å), based on DFT lattice parameters and positions (PBE).
No peak broadening, texture or thermal motion is included.

Structural model:
a = 4.5419 Å, b = 4.5419 Å, c = 19.6892 Å
α = 90.00°, β = 90.00°, γ = 120.00°
Space group R-3m (No. 166, hexagonal axes)
Inequivalent atoms, fractional coordinates:
Al (0.0000, 0.0000, 0.0000) (multiplicity 3)
Al (0.0000, 0.0000, 0.2905) (multiplicity 6)
Al (0.0000, 0.0000, 0.4298) (multiplicity 6)
Zn (0.0000, 0.0000, 0.1472) (multiplicity 6)

Peak list (12 most intense, 2θ = 10–90°, sorted by position)
| 2θ/deg | Rel. int. | (hkl) |
| --- | --- | --- |
| 13.49 | 37.5 | 0 0 3 |
| 23.06 | 13.2 | 1 0 1 |
| 29.06 | 17.4 | 1 0 4 |
| 39.38 | 99.4 | 1 0 7 |
| 39.69 | 100.0 | 1 1 0 |
| 42.10 | 15.0 | 1 1 3 |
| 57.15 | 32.2 | 0 2 7 |
| 71.21 | 15.8 | 0 1 14 |
| 71.82 | 31.7 | 2 1 7 |
| 72.03 | 16.2 | 3 0 0 |
| 84.74 | 10.3 | 2 0 14 |
| 85.52 | 10.2 | 2 2 0 |

# 3
Al2Zn7: computed X-ray diffraction stick pattern (Cu Kα, 1.54184 Å), based on DFT lattice parameters and positions (PBE).
No peak broadening, texture or thermal motion is included.

Structural model:
a = 4.8119 Å, b = 4.8119 Å, c = 6.9668 Å
α = 90.00°, β = 90.00°, γ = 120.00°
Space group P-31m (No. 162)
Inequivalent atoms, fractional coordinates:
Al (0.3333, 0.6667, 0.0000) (multiplicity 2)
Zn (0.0000, 0.0000, 0.0000) (multiplicity 1)
Zn (0.0000, 0.3327, 0.6648) (multiplicity 6)

Peak list (12 most intense, 2θ = 10–90°, sorted by position)
| 2θ/deg | Rel. int. | (hkl) |
| --- | --- | --- |
| 12.71 | 13.4 | 0 0 1 |
| 24.90 | 4.1 | 1 0 1 |
| 38.78 | 34.6 | 0 0 3 |
| 39.63 | 100.0 | 1 1 1 |
| 45.84 | 65.5 | 2 -1 2 |
| 66.24 | 20.1 | 1 1 4 |
| 67.42 | 18.8 | 3 0 0 |
| 79.49 | 11.8 | 2 -1 5 |
| 80.59 | 22.0 | 3 0 3 |
| 81.13 | 11.1 | 4 -2 1 |
| 83.20 | 3.4 | 0 0 6 |
| 85.37 | 9.8 | 2 2 2 |

# 4
Zr3Al5: computed X-ray diffraction stick pattern (Cu Kα, 1.54184 Å), based on DFT lattice parameters and positions (PBE).
No peak broadening, texture or thermal motion is included.

Structural model:
a = 5.6023 Å, b = 14.8003 Å, c = 7.5619 Å
α = 90.00°, β = 104.49°, γ = 90.00°
Space group C2/m (No. 12)
Inequivalent atoms, fractional coordinates:
Zr (0.0000, 0.1659, 0.0000) (multiplicity 4)
Zr (0.0000, 0.2241, 0.5000) (multiplicity 4)
Zr (0.1780, 0.0000, 0.6818) (multiplicity 4)
Al (0.0881, 0.3342, 0.1799) (multiplicity 8)
Al (0.2043, 0.5000, 0.9329) (multiplicity 4)
Al (0.2164, 0.4070, 0.6354) (multiplicity 8)

Peak list (12 most intense, 2θ = 10–90°, sorted by position)
| 2θ/deg | Rel. int. | (hkl) |
| --- | --- | --- |
| 17.41 | 23.7 | 1 1 0 |
| 25.37 | 26.8 | 1 3 -1 |
| 27.00 | 33.5 | 0 4 1 |
| 27.18 | 57.5 | 0 2 2 |
| 35.24 | 100.0 | 2 2 0 |
| 35.94 | 47.0 | 2 0 -2 |
| 36.90 | 28.0 | 1 1 -3 |
| 37.62 | 87.4 | 1 3 2 |
| 38.51 | 29.5 | 0 6 1 |
| 38.86 | 27.5 | 0 2 3 |
| 40.09 | 52.6 | 1 5 -2 |
| 40.59 | 38.3 | 2 4 -1 |

# 5
ZrAl8: computed X-ray diffraction stick pattern (Cu Kα, 1.54184 Å), based on DFT lattice parameters and positions (PBE).
No peak broadening, texture or thermal motion is included.

Structural model:
a = 8.7314 Å, b = 8.7314 Å, c = 4.0497 Å
α = 90.00°, β = 90.00°, γ = 90.00°
Space group I4/mmm (No. 139)
Inequivalent atoms, fractional coordinates:
Zr (0.0000, 0.0000, 0.0000) (multiplicity 2)
Al (0.0000, 0.3364, 0.0000) (multiplicity 8)
Al (0.1693, 0.1693, 0.5000) (multiplicity 8)

Peak list (12 most intense, 2θ = 10–90°, sorted by position)
| 2θ/deg | Rel. int. | (hkl) |
| --- | --- | --- |
| 14.35 | 22.6 | 1 1 0 |
| 20.34 | 11.1 | 2 0 0 |
| 24.23 | 15.5 | 1 0 1 |
| 31.84 | 15.8 | 2 1 1 |
| 38.08 | 100.0 | 3 0 1 |
| 44.00 | 32.7 | 3 3 0 |
| 44.76 | 15.6 | 0 0 2 |
| 63.98 | 10.5 | 6 0 0 |
| 64.57 | 20.4 | 3 3 2 |
| 76.94 | 24.3 | 6 3 1 |
| 78.03 | 11.7 | 3 0 3 |
| 81.44 | 10.4 | 6 0 2 |

# 6
ZrAl5: computed X-ray diffraction stick pattern (Cu Kα, 1.54184 Å), based on DFT lattice parameters and positions (PBE).
No peak broadening, texture or thermal motion is included.

Structural model:
a = 4.0802 Å, b = 12.8204 Å, c = 3.9481 Å
α = 90.00°, β = 90.00°, γ = 90.00°
Space group Cmmm (No. 65)
Inequivalent atoms, fractional coordinates:
Zr (0.0000, 0.0000, 0.0000) (multiplicity 2)
Al (0.0000, 0.1725, 0.5000) (multiplicity 4)
Al (0.0000, 0.3346, 0.0000) (multiplicity 4)
Al (0.0000, 0.5000, 0.5000) (multiplicity 2)

Peak list (12 most intense, 2θ = 10–90°, sorted by position)
| 2θ/deg | Rel. int. | (hkl) |
| --- | --- | --- |
| 13.81 | 23.1 | 0 2 0 |
| 22.87 | 15.0 | 1 1 0 |
| 26.52 | 12.6 | 0 2 1 |
| 32.32 | 13.8 | 1 1 1 |
| 38.07 | 100.0 | 1 3 1 |
| 42.30 | 18.2 | 0 6 0 |
| 44.41 | 16.0 | 2 0 0 |
| 45.97 | 14.4 | 0 0 2 |
| 62.99 | 10.9 | 2 6 0 |
| 74.54 | 13.0 | 1 9 1 |
| 77.52 | 11.9 | 3 3 1 |
| 79.79 | 11.6 | 1 3 3 |

# 7
Zn6O6Ar: computed X-ray diffraction stick pattern (Cu Kα, 1.54184 Å), based on DFT lattice parameters and positions (PBE).
No peak broadening, texture or thermal motion is included.

Structural model:
a = 5.7179 Å, b = 5.7179 Å, c = 5.7179 Å
α = 90.00°, β = 90.00°, γ = 90.00°
Space group Pm-3 (No. 200)
Inequivalent atoms, fractional coordinates:
Zn (0.0000, 0.2512, 0.5000) (multiplicity 6)
O (0.0000, 0.5000, 0.2503) (multiplicity 6)
Ar (0.0000, 0.0000, 0.0000) (multiplicity 1)

Peak list (12 most intense, 2θ = 10–90°, sorted by position)
| 2θ/deg | Rel. int. | (hkl) |
| --- | --- | --- |
| 21.98 | 64.2 | 1 1 0 |
| 31.29 | 32.2 | 2 0 0 |
| 35.09 | 100.0 | 2 1 0 |
| 38.57 | 70.3 | 2 1 1 |
| 44.83 | 9.4 | 2 2 0 |
| 50.47 | 13.0 | 3 1 0 |
| 55.69 | 38.7 | 2 2 2 |
| 58.17 | 24.1 | 3 0 2 |
| 60.59 | 32.5 | 3 2 1 |
| 65.27 | 22.4 | 4 0 0 |
| 74.16 | 8.4 | 4 2 0 |
| 76.32 | 21.4 | 4 2 1 |

# 8
As7Au: computed X-ray diffraction stick pattern (Cu Kα, 1.54184 Å), based on DFT lattice parameters and positions (PBE).
No peak broadening, texture or thermal motion is included.

Structural model:
a = 8.5372 Å, b = 8.5372 Å, c = 8.5372 Å
α = 90.00°, β = 90.00°, γ = 90.00°
Space group Fm-3m (No. 225)
Inequivalent atoms, fractional coordinates:
As (0.0000, 0.0000, 0.0000) (multiplicity 4)
As (0.0000, 0.2500, 0.2500) (multiplicity 24)
Au (0.0000, 0.0000, 0.5000) (multiplicity 4)

Peak list (12 most intense, 2θ = 10–90°, sorted by position)
| 2θ/deg | Rel. int. | (hkl) |
| --- | --- | --- |
| 18.00 | 14.2 | 1 1 1 |
| 20.81 | 7.7 | 2 0 0 |
| 29.60 | 6.8 | 2 2 0 |
| 34.85 | 9.0 | 3 1 1 |
| 36.46 | 100.0 | 2 2 2 |
| 42.35 | 49.2 | 4 0 0 |
| 46.36 | 4.2 | 3 3 1 |
| 47.64 | 3.9 | 4 2 0 |
| 55.97 | 3.2 | 5 1 1 |
| 61.44 | 32.4 | 4 4 0 |
| 73.60 | 38.1 | 6 2 2 |
| 77.46 | 11.1 | 4 4 4 |